[1]
Theoretical X-ray powder pattern
Compound: Dy6YHo4
Radiation: Cu Kα
Structure: DFT lattice parameters and positions (PBE)
Peak positions follow from Bragg's law for the DFT cell and can differ from measured ones.

Atomic structure:
Cell: 5.5753 5.5753 25.5221 Å, 90.00 90.00 118.68°
Positions (direct):
Dy 0.0000 0.0000 0.0000
Dy 0.0000 0.0000 0.5000
Dy 0.0269 0.9731 0.7500
Dy 0.3075 0.6925 0.1037
Dy 0.3075 0.6925 0.3963
Dy 0.3607 0.6393 0.6815
Dy 0.3607 0.6393 0.8185
Dy 0.6393 0.3607 0.1815
Dy 0.6393 0.3607 0.3185
Dy 0.6925 0.3075 0.6037
Dy 0.6925 0.3075 0.8963
Dy 0.9731 0.0269 0.2500
Y 0.3078 0.6922 0.2500
Y 0.6922 0.3078 0.7500
Ho 0.0314 0.9686 0.6216
Ho 0.0314 0.9686 0.8784
Ho 0.3442 0.6558 0.5427
Ho 0.3442 0.6558 0.9573
Ho 0.6558 0.3442 0.0427
Ho 0.6558 0.3442 0.4573
Ho 0.9686 0.0314 0.1216
Ho 0.9686 0.0314 0.3784

Principal peaks in the range 2θ from 10° to 80°, in order of falling intensity:
32.12 deg, intensity 100
31.47 deg, intensity 65
30.58 deg, intensity 63
33.54 deg, intensity 54
30.81 deg, intensity 50
44.61 deg, intensity 36
56.57 deg, intensity 23
32.31 deg, intensity 21
56.44 deg, intensity 20
57.36 deg, intensity 15

[2]
Theoretical X-ray powder pattern
Compound: MnPtRh4
Radiation: Cu Kα
Structure: DFT lattice parameters and positions (PBE)
Peak positions follow from Bragg's law for the DFT cell and can differ from measured ones.

Atomic structure:
Cell: 2.7522 2.7522 11.3201 Å, 90.00 90.00 90.00°
Positions (direct):
Mn 0.0000 0.0000 0.0000
Pt 0.5000 0.5000 0.5000
Rh 0.0000 0.0000 0.3263
Rh 0.0000 0.0000 0.6737
Rh 0.5000 0.5000 0.1574
Rh 0.5000 0.5000 0.8426

Principal peaks in the range 2θ from 10° to 80°, in order of falling intensity:
40.57 deg, intensity 100
46.67 deg, intensity 34
69.38 deg, intensity 19
48.24 deg, intensity 14
68.14 deg, intensity 11
36.30 deg, intensity 9
23.58 deg, intensity 4
32.53 deg, intensity 4
62.98 deg, intensity 3
75.56 deg, intensity 3

[3]
Theoretical X-ray powder pattern
Compound: Sr2TmSi3Au12
Radiation: Cu Kα
Structure: DFT lattice parameters and positions (PBE)
Peak positions follow from Bragg's law for the DFT cell and can differ from measured ones.

Atomic structure:
Cell: 8.1937 8.1937 8.1937 Å, 66.06 66.06 66.06°
Positions (direct):
Sr 0.0992 0.0992 0.0992
Sr 0.9008 0.9008 0.9008
Tm 0.5000 0.5000 0.5000
Si 0.0000 0.5000 0.5000
Si 0.5000 0.0000 0.5000
Si 0.5000 0.5000 0.0000
Au 0.1106 0.6380 0.6380
Au 0.1864 0.1864 0.6365
Au 0.1864 0.6365 0.1864
Au 0.3620 0.3620 0.8894
Au 0.3620 0.8894 0.3620
Au 0.3635 0.8136 0.8136
Au 0.6365 0.1864 0.1864
Au 0.6380 0.1106 0.6380
Au 0.6380 0.6380 0.1106
Au 0.8136 0.3635 0.8136
Au 0.8136 0.8136 0.3635
Au 0.8894 0.3620 0.3620

Principal peaks in the range 2θ from 10° to 80°, in order of falling intensity:
40.39 deg, intensity 100
29.72 deg, intensity 77
32.95 deg, intensity 67
32.01 deg, intensity 40
36.02 deg, intensity 29
49.88 deg, intensity 27
28.03 deg, intensity 27
60.15 deg, intensity 26
19.88 deg, intensity 15
53.08 deg, intensity 15

[4]
Theoretical X-ray powder pattern
Compound: Dy3Ga8Pd3
Radiation: Cu Kα
Structure: DFT lattice parameters and positions (PBE)
Peak positions follow from Bragg's law for the DFT cell and can differ from measured ones.

Atomic structure:
Cell: 8.1184 8.1184 9.4712 Å, 124.71 124.71 30.88°
Positions (direct):
Dy 0.0000 0.0000 0.0000
Dy 0.2936 0.2936 0.2935
Dy 0.7064 0.7064 0.7065
Ga 0.1422 0.1422 0.4290
Ga 0.1480 0.1480 0.8657
Ga 0.3463 0.3463 0.7185
Ga 0.4979 0.4979 0.3215
Ga 0.5021 0.5021 0.6785
Ga 0.6537 0.6537 0.2815
Ga 0.8520 0.8520 0.1343
Ga 0.8578 0.8578 0.5710
Pd 0.0000 0.0000 0.5000
Pd 0.3514 0.3514 0.9900
Pd 0.6486 0.6486 0.0100

Principal peaks in the range 2θ from 10° to 80°, in order of falling intensity:
35.50 deg, intensity 100
35.21 deg, intensity 100
35.07 deg, intensity 92
41.79 deg, intensity 92
36.64 deg, intensity 45
29.62 deg, intensity 45
42.98 deg, intensity 38
36.36 deg, intensity 36
68.34 deg, intensity 34
37.87 deg, intensity 34

[5]
Theoretical X-ray powder pattern
Compound: CuPd4Au4
Radiation: Cu Kα
Structure: DFT lattice parameters and positions (PBE)
Peak positions follow from Bragg's law for the DFT cell and can differ from measured ones.

Atomic structure:
Cell: 6.3873 6.3873 6.3873 Å, 95.55 95.55 143.75°
Positions (direct):
Cu 0.0000 0.0000 0.0000
Pd 0.0000 0.3341 0.3341
Pd 0.0000 0.6659 0.6659
Pd 0.3341 0.0000 0.3341
Pd 0.6659 0.0000 0.6659
Au 0.3354 0.3354 0.6708
Au 0.3354 0.6646 0.0000
Au 0.6646 0.3354 0.0000
Au 0.6646 0.6646 0.3292

Principal peaks in the range 2θ from 10° to 80°, in order of falling intensity:
38.78 deg, intensity 100
44.79 deg, intensity 33
78.52 deg, intensity 26
65.88 deg, intensity 21
45.66 deg, intensity 16
79.78 deg, intensity 12
65.20 deg, intensity 11
24.69 deg, intensity 10
20.69 deg, intensity 5
32.99 deg, intensity 5

[6]
Theoretical X-ray powder pattern
Compound: TlAg2
Radiation: Cu Kα
Structure: DFT lattice parameters and positions (PBE)
Peak positions follow from Bragg's law for the DFT cell and can differ from measured ones.

Atomic structure:
Cell: 6.0190 4.5208 9.2592 Å, 90.00 90.00 90.00°
Positions (direct):
Tl 0.1347 0.2500 0.0977
Tl 0.3653 0.7500 0.5977
Tl 0.6347 0.2500 0.4023
Tl 0.8653 0.7500 0.9023
Ag 0.1192 0.2500 0.7508
Ag 0.1254 0.2500 0.4277
Ag 0.3746 0.7500 0.9277
Ag 0.3808 0.7500 0.2508
Ag 0.6192 0.2500 0.7492
Ag 0.6254 0.2500 0.0723
Ag 0.8746 0.7500 0.5723
Ag 0.8808 0.7500 0.2492

Principal peaks in the range 2θ from 10° to 80°, in order of falling intensity:
35.21 deg, intensity 100
35.85 deg, intensity 99
41.93 deg, intensity 61
59.25 deg, intensity 43
39.88 deg, intensity 37
73.02 deg, intensity 22
71.85 deg, intensity 21
69.80 deg, intensity 14
69.40 deg, intensity 13
75.97 deg, intensity 10